Diffraction record for LuPS4. The powder X-ray diffraction pattern is theoretical, not measured: it uses the GGA-PBE geometry in the Materials Project and a wavelength of 1.5418 Å.

Peak list (12 most intense, 5 to 70 degrees two-theta, in order of rising 2θ)
2theta	Rel. int.
11.8	100
18.1	19
20.0	13
21.4	19
25.0	20
27.4	10
28.8	9
32.7	9
33.9	16
36.0	14
40.2	8
47.2	11

Cell lengths 8.6940, 6.5105, 12.5584 Å; angles 90.00, 120.51, 90.00 degrees
Atoms (fractional coordinates):
Lu1 0.0551 0.1777 0.1644
Lu2 0.0551 0.3223 0.6644
Lu3 0.9449 0.6777 0.3356
Lu4 0.9449 0.8223 0.8356
P1 0.1843 0.2299 0.4607
P2 0.1843 0.2701 0.9607
P3 0.8157 0.7299 0.0393
P4 0.8157 0.7701 0.5393
S1 0.0801 0.7283 0.5875
S2 0.0801 0.7717 0.0875
S3 0.2152 0.5390 0.8848
S4 0.2152 0.9610 0.3848
S5 0.2353 0.0509 0.8639
S6 0.2353 0.4491 0.3639
S7 0.3424 0.2451 0.6452
S8 0.3424 0.2549 0.1452
S9 0.6576 0.7451 0.8548
S10 0.6576 0.7549 0.3548
S11 0.7647 0.5509 0.6361
S12 0.7647 0.9491 0.1361
S13 0.7848 0.0390 0.6152
S14 0.7848 0.4610 0.1152
S15 0.9199 0.2283 0.9125
S16 0.9199 0.2717 0.4125

---

Diffraction record for LuPaRe2. The powder X-ray diffraction pattern is theoretical, not measured: it uses the GGA-PBE geometry in the Materials Project and a wavelength of 1.5418 Å.

Peak list (5 most intense, 5 to 70 degrees two-theta, in order of rising 2θ)
2theta	Rel. int.
22.5	1
37.2	100
44.0	1
53.7	18
67.1	37

Cell lengths 4.8293, 4.8293, 4.8293 Å; angles 60.00, 60.00, 60.00 degrees
Atoms (fractional coordinates):
Lu1 0.0000 0.0000 0.0000
Pa1 0.5000 0.5000 0.5000
Re1 0.2500 0.2500 0.2500
Re2 0.7500 0.7500 0.7500

---

Diffraction record for LuPaTc2. The powder X-ray diffraction pattern is theoretical, not measured: it uses the GGA-PBE geometry in the Materials Project and a wavelength of 1.5418 Å.

Peak list (8 most intense, 5 to 70 degrees two-theta, in order of rising 2θ)
2theta	Rel. int.
22.7	2
26.2	13
37.5	100
44.2	1
46.3	4
54.0	17
61.0	6
67.6	36

Cell lengths 4.8023, 4.8023, 4.8023 Å; angles 60.00, 60.00, 60.00 degrees
Atoms (fractional coordinates):
Lu1 0.0000 0.0000 0.0000
Pa1 0.5000 0.5000 0.5000
Tc1 0.2500 0.2500 0.2500
Tc2 0.7500 0.7500 0.7500

---

Diffraction record for LuPb3. The powder X-ray diffraction pattern is theoretical, not measured: it uses the GGA-PBE geometry in the Materials Project and a wavelength of 1.5418 Å.

Peak list (5 most intense, 5 to 70 degrees two-theta, in order of rising 2θ)
2theta	Rel. int.
31.8	100
36.9	51
53.2	36
63.3	43
66.5	13

Cell lengths 4.8716, 4.8716, 4.8716 Å; angles 90.00, 90.00, 90.00 degrees
Atoms (fractional coordinates):
Lu1 0.0000 0.0000 0.0000
Pb1 0.0000 0.5000 0.5000
Pb2 0.5000 0.0000 0.5000
Pb3 0.5000 0.5000 0.0000

---

Diffraction record for Lu6Pb5. The powder X-ray diffraction pattern is theoretical, not measured: it uses the GGA-PBE geometry in the Materials Project and a wavelength of 1.5418 Å.

Peak list (12 most intense, 5 to 70 degrees two-theta, in order of rising 2θ)
2theta	Rel. int.
27.3	40
31.5	56
31.8	56
32.0	100
32.5	55
32.6	40
33.2	90
33.6	55
36.8	27
38.5	27
56.4	28
66.4	35

Cell lengths 11.5471, 11.5471, 11.5471 Å; angles 132.56, 58.88, 147.19 degrees
Atoms (fractional coordinates):
Lu1 0.0597 0.2500 0.8097
Lu2 0.0642 0.2422 0.3064
Lu3 0.1417 0.6159 0.7577
Lu4 0.3583 0.1159 0.4742
Lu5 0.4358 0.7422 0.1781
Lu6 0.4403 0.2500 0.1903
Lu7 0.5597 0.7500 0.8097
Lu8 0.5642 0.2578 0.8219
Lu9 0.6417 0.8841 0.5258
Lu10 0.8583 0.3841 0.2423
Lu11 0.9358 0.7578 0.6936
Lu12 0.9403 0.7500 0.1903
Pb1 0.0695 0.9018 0.9713
Pb2 0.2111 0.3033 0.5144
Pb3 0.2500 0.7500 0.5000
Pb4 0.2889 0.8033 0.0922
Pb5 0.4305 0.4018 0.8323
Pb6 0.5695 0.5982 0.1677
Pb7 0.7111 0.1967 0.9078
Pb8 0.7500 0.2500 0.5000
Pb9 0.7889 0.6967 0.4856
Pb10 0.9305 0.0982 0.0287

---

Diffraction record for LuPb2. The powder X-ray diffraction pattern is theoretical, not measured: it uses the GGA-PBE geometry in the Materials Project and a wavelength of 1.5418 Å.

Peak list (12 most intense, 5 to 70 degrees two-theta, in order of rising 2θ)
2theta	Rel. int.
24.4	1
30.2	1
32.6	100
33.1	49
45.4	1
46.0	9
47.4	18
57.8	19
58.7	38
59.8	1
68.2	12
69.4	6

Cell lengths 6.5117, 6.5117, 6.5117 Å; angles 145.77, 145.77, 49.18 degrees
Atoms (fractional coordinates):
Lu1 0.0000 0.0000 0.0000
Pb1 0.3404 0.3404 0.0000
Pb2 0.6596 0.6596 0.0000

---

Diffraction record for LuRh2Pb. The powder X-ray diffraction pattern is theoretical, not measured: it uses the GGA-PBE geometry in the Materials Project and a wavelength of 1.5418 Å.

Peak list (7 most intense, 5 to 70 degrees two-theta, in order of rising 2θ)
2theta	Rel. int.
23.1	1
26.7	10
38.1	100
47.1	3
55.0	17
62.2	4
68.9	35

Cell lengths 4.7217, 4.7217, 4.7217 Å; angles 60.00, 60.00, 60.00 degrees
Atoms (fractional coordinates):
Lu1 0.0000 0.0000 0.0000
Rh1 0.2500 0.2500 0.2500
Rh2 0.7500 0.7500 0.7500
Pb1 0.5000 0.5000 0.5000

---

Diffraction record for LuPd. The powder X-ray diffraction pattern is theoretical, not measured: it uses the GGA-PBE geometry in the Materials Project and a wavelength of 1.5418 Å.

Peak list (6 most intense, 5 to 70 degrees two-theta, in order of rising 2θ)
2theta	Rel. int.
25.9	6
36.9	100
45.7	2
53.2	17
60.1	3
66.6	36

Cell lengths 3.4406, 3.4406, 3.4406 Å; angles 90.00, 90.00, 90.00 degrees
Atoms (fractional coordinates):
Lu1 0.0000 0.0000 0.0000
Pd1 0.5000 0.5000 0.5000

---

Diffraction record for Lu3Pd4. The powder X-ray diffraction pattern is theoretical, not measured: it uses the GGA-PBE geometry in the Materials Project and a wavelength of 1.5418 Å.

Peak list (12 most intense, 5 to 70 degrees two-theta, in order of rising 2θ)
2theta	Rel. int.
26.2	11
32.6	15
32.8	32
35.4	9
36.6	100
38.1	71
38.3	13
43.1	14
52.0	10
53.9	18
66.9	11
67.0	9

Cell lengths 7.7358, 7.7358, 7.7358 Å; angles 114.23, 114.23, 114.23 degrees
Atoms (fractional coordinates):
Lu1 0.0240 0.4036 0.2773
Lu2 0.2773 0.0240 0.4036
Lu3 0.4036 0.2773 0.0240
Lu4 0.5964 0.7227 0.9760
Lu5 0.7227 0.9760 0.5964
Lu6 0.9760 0.5964 0.7227
Pd1 0.0000 0.0000 0.0000
Pd2 0.0642 0.2287 0.5507
Pd3 0.2287 0.5507 0.0642
Pd4 0.4493 0.9358 0.7713
Pd5 0.5000 0.5000 0.5000
Pd6 0.5507 0.0642 0.2287
Pd7 0.7713 0.4493 0.9358
Pd8 0.9358 0.7713 0.4493

---

Diffraction record for Lu2PdPt. The powder X-ray diffraction pattern is theoretical, not measured: it uses the GGA-PBE geometry in the Materials Project and a wavelength of 1.5418 Å.

Peak list (7 most intense, 5 to 70 degrees two-theta, in order of rising 2θ)
2theta	Rel. int.
22.5	4
26.0	1
37.1	100
43.8	2
53.4	18
58.7	1
66.8	36

Cell lengths 4.8503, 4.8503, 4.8503 Å; angles 60.00, 60.00, 60.00 degrees
Atoms (fractional coordinates):
Lu1 0.2500 0.2500 0.2500
Lu2 0.7500 0.7500 0.7500
Pd1 0.0000 0.0000 0.0000
Pt1 0.5000 0.5000 0.5000

---

Diffraction record for Lu2PdRh. The powder X-ray diffraction pattern is theoretical, not measured: it uses the GGA-PBE geometry in the Materials Project and a wavelength of 1.5418 Å.

Peak list (6 most intense, 5 to 70 degrees two-theta, in order of rising 2θ)
2theta	Rel. int.
26.2	7
37.4	100
46.2	2
53.9	17
60.9	3
67.5	35

Cell lengths 4.8089, 4.8089, 4.8089 Å; angles 60.00, 60.00, 60.00 degrees
Atoms (fractional coordinates):
Lu1 0.2500 0.2500 0.2500
Lu2 0.7500 0.7500 0.7500
Pd1 0.0000 0.0000 0.0000
Rh1 0.5000 0.5000 0.5000

---

Diffraction record for Lu2PdRu. The powder X-ray diffraction pattern is theoretical, not measured: it uses the GGA-PBE geometry in the Materials Project and a wavelength of 1.5418 Å.

Peak list (6 most intense, 5 to 70 degrees two-theta, in order of rising 2θ)
2theta	Rel. int.
26.4	7
37.6	100
46.6	2
54.3	17
61.3	3
68.0	35

Cell lengths 4.7787, 4.7787, 4.7787 Å; angles 60.00, 60.00, 60.00 degrees
Atoms (fractional coordinates):
Lu1 0.2500 0.2500 0.2500
Lu2 0.7500 0.7500 0.7500
Pd1 0.0000 0.0000 0.0000
Ru1 0.5000 0.5000 0.5000

---

Repeat the first record exactly.
Diffraction record for LuPS4. The powder X-ray diffraction pattern is theoretical, not measured: it uses the GGA-PBE geometry in the Materials Project and a wavelength of 1.5418 Å.

Peak list (12 most intense, 5 to 70 degrees two-theta, in order of rising 2θ)
2theta	Rel. int.
11.8	100
18.1	19
20.0	13
21.4	19
25.0	20
27.4	10
28.8	9
32.7	9
33.9	16
36.0	14
40.2	8
47.2	11

Cell lengths 8.6940, 6.5105, 12.5584 Å; angles 90.00, 120.51, 90.00 degrees
Atoms (fractional coordinates):
Lu1 0.0551 0.1777 0.1644
Lu2 0.0551 0.3223 0.6644
Lu3 0.9449 0.6777 0.3356
Lu4 0.9449 0.8223 0.8356
P1 0.1843 0.2299 0.4607
P2 0.1843 0.2701 0.9607
P3 0.8157 0.7299 0.0393
P4 0.8157 0.7701 0.5393
S1 0.0801 0.7283 0.5875
S2 0.0801 0.7717 0.0875
S3 0.2152 0.5390 0.8848
S4 0.2152 0.9610 0.3848
S5 0.2353 0.0509 0.8639
S6 0.2353 0.4491 0.3639
S7 0.3424 0.2451 0.6452
S8 0.3424 0.2549 0.1452
S9 0.6576 0.7451 0.8548
S10 0.6576 0.7549 0.3548
S11 0.7647 0.5509 0.6361
S12 0.7647 0.9491 0.1361
S13 0.7848 0.0390 0.6152
S14 0.7848 0.4610 0.1152
S15 0.9199 0.2283 0.9125
S16 0.9199 0.2717 0.4125

---

Repeat the first record exactly.
Diffraction record for LuPS4. The powder X-ray diffraction pattern is theoretical, not measured: it uses the GGA-PBE geometry in the Materials Project and a wavelength of 1.5418 Å.

Peak list (12 most intense, 5 to 70 degrees two-theta, in order of rising 2θ)
2theta	Rel. int.
11.8	100
18.1	19
20.0	13
21.4	19
25.0	20
27.4	10
28.8	9
32.7	9
33.9	16
36.0	14
40.2	8
47.2	11

Cell lengths 8.6940, 6.5105, 12.5584 Å; angles 90.00, 120.51, 90.00 degrees
Atoms (fractional coordinates):
Lu1 0.0551 0.1777 0.1644
Lu2 0.0551 0.3223 0.6644
Lu3 0.9449 0.6777 0.3356
Lu4 0.9449 0.8223 0.8356
P1 0.1843 0.2299 0.4607
P2 0.1843 0.2701 0.9607
P3 0.8157 0.7299 0.0393
P4 0.8157 0.7701 0.5393
S1 0.0801 0.7283 0.5875
S2 0.0801 0.7717 0.0875
S3 0.2152 0.5390 0.8848
S4 0.2152 0.9610 0.3848
S5 0.2353 0.0509 0.8639
S6 0.2353 0.4491 0.3639
S7 0.3424 0.2451 0.6452
S8 0.3424 0.2549 0.1452
S9 0.6576 0.7451 0.8548
S10 0.6576 0.7549 0.3548
S11 0.7647 0.5509 0.6361
S12 0.7647 0.9491 0.1361
S13 0.7848 0.0390 0.6152
S14 0.7848 0.4610 0.1152
S15 0.9199 0.2283 0.9125
S16 0.9199 0.2717 0.4125